# 1
Starting from a crystal structure in OQMD, relaxed with GGA-PBE, the powder XRD pattern of Nd2YAl3CoCu2 was simulated for Cu Kα (weighted mean of Kα1 and Kα2).
Kinematic intensities with the Lorentz-polarization factor, no thermal factor.

Most intense lines, 15° ≤ 2θ ≤ 90°, sorted by position:
- 21.56 deg, I 278, (1 0 0)
- 25.10 deg, I 372, (0 3 1)
- 29.42 deg, I 275, (0 2 2)
- 33.32 deg, I 1000, (1 3 1)
- 33.68 deg, I 536, (1 0 2)
- 36.32 deg, I 450, (1 4 0)
- 36.77 deg, I 927, (1 2 2)
- 43.93 deg, I 472, (2 0 0)

abc: 4.1221 12.3665 6.9689
angles: 90.00 90.00 90.00
Space group Amm2 (No. 38)
One atom of each set of equivalent atoms:
Nd (0.0000, 0.2056, 0.0000)
Y (0.0000, 0.0000, 0.6151)
Al (0.5000, 0.0000, 0.9817)
Al (0.5000, 0.1100, 0.3216)
Co (0.0000, 0.0000, 0.2108)
Cu (0.5000, 0.1621, 0.7035)

=====

# 2
Starting from a crystal structure in OQMD, relaxed with GGA-PBE, the powder XRD pattern of Al2CoCu4Ni was simulated for Cu Kα (weighted mean of Kα1 and Kα2).
Kinematic intensities with the Lorentz-polarization factor, no thermal factor.

Most intense lines, 15° ≤ 2θ ≤ 90°, sorted by position:
- 26.91 deg, I 101, (1 1 2)
- 31.72 deg, I 56, (2 0 0)
- 44.25 deg, I 1000, (2 0 4)
- 45.47 deg, I 460, (2 2 0)
- 62.45 deg, I 83, (0 0 8)
- 66.26 deg, I 137, (4 0 0)
- 80.57 deg, I 151, (2 2 8)
- 83.17 deg, I 278, (4 2 4)

abc: 5.6424 5.6424 11.8976
angles: 90.00 90.00 90.00
Space group I4_1/amd (No. 141, origin choice 2)
One atom of each set of equivalent atoms:
Al (0.0000, 0.2500, 0.1244)
Co (0.0000, 0.2500, 0.8750)
Cu (0.2495, 0.0000, 0.5000)
Ni (0.0000, 0.2500, 0.3750)